No. 1
The following is a computed X-ray powder pattern of Sr4Cu2Au5. It was derived from the PBE geometry in Alexandria, using Cu Kα (λ = 1.5418 Å).
Lines closer than 0.1° are merged.

Principal peaks in the range 15° ≤ 2θ ≤ 90°, in order of rising 2θ:
2theta	I/Imax
20.28	87.8
31.29	100.0
31.43	67.8
31.55	62.8
33.04	55.8
39.11	28.6
41.24	54.2
41.45	39.1
41.70	32.3
59.90	27.7

Cell and atoms:
```
Sr4Cu2Au5
1.0
7.4934 0.0000 0.0000
0.0000 4.3779 0.0000
-0.1405 0.0000 8.6584
Sr Cu Au
4 2 5
Cartesian
1.6642 0.0000 1.1388 Sr
1.8563 0.0000 5.3714 Sr
5.4966 0.0000 3.2870 Sr
5.6888 0.0000 7.5195 Sr
0.4841 2.1890 3.2650 Cu
6.8689 2.1890 5.3934 Cu
0.8415 2.1890 7.5334 Au
3.0789 2.1890 3.0200 Au
3.7467 2.1890 0.0000 Au
4.2740 2.1890 5.6384 Au
6.5114 2.1890 1.1250 Au
```

No. 2
The following is a computed X-ray powder pattern of Pm3Ho5Tm3. It was derived from the PBE geometry in Alexandria, using Cu Kα (λ = 1.5418 Å).
Lines closer than 0.1° are merged.

Principal peaks in the range 15° ≤ 2θ ≤ 90°, in order of rising 2θ:
2theta	I/Imax
16.60	59.9
27.11	79.4
28.27	41.8
32.15	52.2
32.96	100.0
33.57	58.4
36.40	80.3
42.54	38.7
47.17	36.1
61.86	39.6

Cell and atoms:
```
Pm3Ho5Tm3
1.0
9.6437 0.0000 0.0000
-4.8219 8.3517 0.0000
0.0000 0.0000 5.3392
Pm Ho Tm
3 5 3
Cartesian
-1.7744 3.0733 0.0000 Pm
3.5488 0.0000 0.0000 Pm
3.0475 5.2784 0.0000 Pm
-3.5741 6.1905 0.0000 Ho
1.2478 2.1612 0.0000 Ho
0.0000 5.5678 0.0000 Ho
4.8219 2.7839 0.0000 Ho
7.1482 0.0000 0.0000 Ho
-2.6647 4.6154 2.6696 Tm
2.1572 3.7364 2.6696 Tm
5.3294 0.0000 2.6696 Tm
```

No. 3
The following is a computed X-ray powder pattern of Yb2Cu3Te4Cl4O12. It was derived from the PBE geometry in Alexandria, using Cu Kα (λ = 1.5418 Å).
Lines closer than 0.1° are merged.

Principal peaks in the range 15° ≤ 2θ ≤ 90°, in order of rising 2θ:
2theta	I/Imax
24.91	31.6
26.70	31.8
27.48	100.0
28.46	73.6
30.41	60.8
32.23	34.8
33.09	56.2
33.95	46.9
34.36	32.0
45.27	26.8

Cell and atoms:
```
Yb2Cu3Te4Cl4O12
1.0
5.5855 0.0000 0.0000
2.0510 7.9500 0.0000
0.2801 1.7121 9.6506
Yb Cu Te Cl O
2 3 4 4 12
Cartesian
1.5419 2.2137 4.7113 Yb
6.3747 7.4484 4.9393 Yb
1.6013 4.5476 7.7165 Cu
3.9583 4.8310 4.8253 Cu
6.3152 5.1145 1.9341 Cu
3.4307 7.2814 7.1990 Te
3.6492 7.0596 2.5798 Te
4.2674 2.6025 7.0708 Te
4.4859 2.3807 2.4516 Te
1.7994 2.6478 8.8671 Cl
2.5741 4.5437 0.7938 Cl
5.3425 5.1183 8.8568 Cl
6.1172 7.0143 0.7835 Cl
1.8003 6.2925 6.9323 O
2.5740 8.6207 6.1533 O
2.4939 6.2453 3.8737 O
2.9323 3.9254 6.4571 O
4.5858 8.4080 3.5469 O
3.4046 3.2693 3.7624 O
4.5120 6.3927 5.8882 O
3.3308 1.2541 6.1037 O
4.9843 5.7367 3.1935 O
5.4227 3.4168 5.7769 O
5.3426 1.0414 3.4973 O
6.1163 3.3696 2.7183 O
```

No. 4
The following is a computed X-ray powder pattern of Li2CaGeH. It was derived from the PBE geometry in Alexandria, using Cu Kα (λ = 1.5418 Å).
Lines closer than 0.1° are merged.

Principal peaks in the range 15° ≤ 2θ ≤ 90°, in order of rising 2θ:
2theta	I/Imax
15.59	26.6
21.60	100.0
26.70	28.6
28.82	65.4
31.47	27.3
34.57	29.1
36.62	91.1
38.50	37.8
42.64	29.1
48.54	38.7

Cell and atoms:
```
Li2CaGeH
1.0
1.7495 -5.6846 0.0000
1.7495 5.6846 0.0000
0.0000 0.0000 8.2270
Li Ca Ge H
4 2 2 2
Cartesian
1.7495 3.8605 4.4567 Li
1.7495 3.8605 7.8839 Li
1.7495 -3.8605 0.3432 Li
1.7495 -3.8605 3.7704 Li
1.7495 0.4416 6.1703 Ca
1.7495 -0.4416 2.0568 Ca
1.7495 2.7008 2.0568 Ge
1.7495 -2.7008 6.1703 Ge
0.0000 0.0000 0.0000 H
0.0000 0.0000 4.1135 H
```